For Mn6O5F7, a DFT-relaxed cell (GGA+U, the Materials Project) gives the theoretical PXRD pattern in this record (Cu Kα (λ = 1.5418 Å)).
No peak broadening, texture or thermal motion is included.

Atomic structure:
Unit cell a=4.7227 b=5.7004 c=15.6399 alpha=90.00 beta=90.21 gamma=90.00
Element x y z (fractional)
Mn 0.0000 0.1358 0.0000
Mn 0.0000 0.8642 0.5000
Mn 0.0388 0.1525 0.3343
Mn 0.0388 0.8475 0.8343
Mn 0.0426 0.1505 0.6579
Mn 0.0426 0.8495 0.1579
Mn 0.4638 0.3303 0.8277
Mn 0.4638 0.6697 0.3277
Mn 0.4712 0.3400 0.4901
Mn 0.4712 0.6600 0.9901
Mn 0.5429 0.3520 0.1609
Mn 0.5429 0.6480 0.6609
O 0.2107 0.1006 0.8927
O 0.2107 0.8994 0.3927
O 0.2252 0.1169 0.5501
O 0.2252 0.8831 0.0501
O 0.2757 0.3854 0.3875
O 0.2757 0.6146 0.8875
O 0.3079 0.3896 0.7099
O 0.3079 0.6104 0.2099
O 0.8075 0.1167 0.1103
O 0.8075 0.8833 0.6103
F 0.2815 0.3835 0.0525
F 0.2815 0.6165 0.5525
F 0.2966 0.1132 0.2233
F 0.2966 0.8868 0.7233
F 0.7281 0.3676 0.9420
F 0.7281 0.6324 0.4420
F 0.7345 0.3833 0.5926
F 0.7345 0.6167 0.0926
F 0.7442 0.1216 0.4348
F 0.7442 0.8784 0.9348
F 0.7814 0.3835 0.2761
F 0.7814 0.6165 0.7761
F 0.8145 0.1135 0.7693
F 0.8145 0.8865 0.2693

Largest 10 diffraction maxima, by angle, 10 to 90 degrees two-theta:
- 2θ = 24.48°, 3.637 Å, intensity 56
- 2θ = 29.96°, 2.983 Å, intensity 100
- 2θ = 35.91°, 2.501 Å, intensity 20
- 2θ = 40.83°, 2.210 Å, intensity 22
- 2θ = 51.87°, 1.763 Å, intensity 15
- 2θ = 52.17°, 1.753 Å, intensity 12
- 2θ = 52.38°, 1.747 Å, intensity 11
- 2θ = 53.31°, 1.718 Å, intensity 19
- 2θ = 53.41°, 1.715 Å, intensity 17
- 2θ = 62.61°, 1.484 Å, intensity 18